# RbZn2P
Computed PXRD pattern, CuKα. Input: a cell relaxed with GGA-PBE.
No peak broadening, texture or thermal motion is included.

```
16
Lattice="5.250 0.000 0.000 0.000 5.250 0.000 0.000 0.000 16.723" Properties=species:S:1:pos:R:3 pbc="T T T"
Rb 0.000 1.313 6.271
Rb 0.000 3.938 10.452
Rb 2.625 1.313 2.090
Rb 2.625 3.938 14.633
Zn 0.000 0.000 0.000
Zn 0.000 2.625 0.000
Zn 1.313 1.313 12.542
Zn 1.313 3.938 4.181
Zn 2.625 0.000 8.361
Zn 2.625 2.625 8.361
Zn 3.938 1.313 12.542
Zn 3.938 3.938 4.181
P 0.000 1.313 14.633
P 0.000 3.938 2.090
P 2.625 1.313 10.452
P 2.625 3.938 6.271
```

Largest 10 diffraction maxima, in order of rising 2θ, 2θ from 10° to 90°:
| 2θ/deg | I (rel.) |
| --- | --- |
| 23.27 | 1000 |
| 26.27 | 864 |
| 31.72 | 462 |
| 35.85 | 552 |
| 38.73 | 537 |
| 40.47 | 258 |
| 40.58 | 256 |
| 43.28 | 264 |
| 47.58 | 241 |
| 54.05 | 533 |

---

# PrMg2AlHg2
Computed PXRD pattern, CuKα. Input: a cell relaxed with GGA-PBE.
No peak broadening, texture or thermal motion is included.

```
12
Lattice="5.348 0.000 0.000 0.000 5.348 0.000 0.000 0.000 11.604" Properties=species:S:1:pos:R:3 pbc="T T T"
Pr 0.000 0.000 0.000
Pr 2.674 2.674 5.802
Mg 0.000 2.674 2.901
Mg 0.000 2.674 8.703
Mg 2.674 0.000 2.901
Mg 2.674 0.000 8.703
Al 0.000 0.000 5.802
Al 2.674 2.674 0.000
Hg 0.000 0.000 3.260
Hg 0.000 0.000 8.344
Hg 2.674 2.674 2.542
Hg 2.674 2.674 9.062
```

Largest 10 diffraction maxima, in order of rising 2θ, 2θ from 10° to 90°:
| 2θ/deg | I (rel.) |
| --- | --- |
| 15.27 | 311 |
| 23.53 | 1000 |
| 28.48 | 525 |
| 30.82 | 246 |
| 33.51 | 595 |
| 39.14 | 330 |
| 44.54 | 319 |
| 46.17 | 324 |
| 48.12 | 217 |
| 58.26 | 328 |

---

# Ac3LaRh
Computed PXRD pattern, CuKα. Input: a cell relaxed with GGA-PBE.
No peak broadening, texture or thermal motion is included.

```
5
Lattice="5.878 0.000 0.000 0.000 5.878 0.000 0.000 0.000 5.878" Properties=species:S:1:pos:R:3 pbc="T T T"
Ac 0.000 0.000 2.939
Ac 0.000 2.939 0.000
Ac 2.939 0.000 0.000
La 2.939 2.939 2.939
Rh 0.000 0.000 0.000
```

Largest 10 diffraction maxima, in order of rising 2θ, 2θ from 10° to 90°:
| 2θ/deg | I (rel.) |
| --- | --- |
| 15.07 | 206 |
| 26.26 | 1000 |
| 30.41 | 890 |
| 43.55 | 677 |
| 51.57 | 494 |
| 54.04 | 242 |
| 69.74 | 204 |
| 71.82 | 313 |
| 79.96 | 236 |
| 85.92 | 162 |

---

# TbGa12Rh6
Computed PXRD pattern, CuKα. Input: a cell relaxed with GGA-PBE.
No peak broadening, texture or thermal motion is included.

```
19
Lattice="5.678 3.278 2.870 -5.678 3.278 2.870 0.000 -6.557 2.870" Properties=species:S:1:pos:R:3 pbc="T T T"
Tb 0.000 0.000 0.000
Ga -2.192 -3.797 4.305
Ga -4.385 0.000 4.305
Ga -1.515 -0.875 2.697
Ga 1.515 -0.875 2.697
Ga 0.000 1.749 2.697
Ga 2.192 -3.797 4.305
Ga -2.192 3.797 4.305
Ga 0.000 -1.749 5.913
Ga -1.515 0.875 5.913
Ga 1.515 0.875 5.913
Ga 4.385 0.000 4.305
Ga 2.192 3.797 4.305
Rh 0.000 -2.787 3.601
Rh -2.414 1.394 3.601
Rh -2.414 -1.394 5.009
Rh 2.414 1.394 3.601
Rh 2.414 -1.394 5.009
Rh 0.000 2.787 5.009
```

Largest 10 diffraction maxima, in order of rising 2θ, 2θ from 10° to 90°:
| 2θ/deg | I (rel.) |
| --- | --- |
| 26.11 | 662 |
| 31.80 | 360 |
| 34.49 | 1000 |
| 35.03 | 687 |
| 39.09 | 297 |
| 41.37 | 703 |
| 41.83 | 608 |
| 45.38 | 474 |
| 46.03 | 806 |
| 51.05 | 643 |

---

# BaGe2TeS8
Computed PXRD pattern, CuKα. Input: a cell relaxed with GGA-PBE.
No peak broadening, texture or thermal motion is included.

```
12
Lattice="3.079 1.778 9.011 -3.079 1.778 9.011 0.000 -3.556 9.011" Properties=species:S:1:pos:R:3 pbc="T T T"
Ba 0.000 0.000 0.000
Ge 0.000 0.000 6.669
Ge 0.000 0.000 20.363
Te 0.000 0.000 13.516
S -0.923 -1.950 11.965
S -2.150 -0.176 15.068
S 0.000 0.000 8.876
S -1.227 1.774 11.965
S 1.227 -1.774 15.068
S 0.000 0.000 18.157
S 2.150 0.176 11.965
S 0.923 1.950 15.068
```

Largest 10 diffraction maxima, in order of rising 2θ, 2θ from 10° to 90°:
| 2θ/deg | I (rel.) |
| --- | --- |
| 21.22 | 1000 |
| 29.00 | 523 |
| 30.68 | 218 |
| 31.34 | 421 |
| 35.30 | 296 |
| 36.21 | 353 |
| 47.04 | 305 |
| 50.18 | 417 |
| 51.40 | 293 |
| 52.89 | 165 |

---

# Na3Pu3InS8
Computed PXRD pattern, CuKα. Input: a cell relaxed with GGA-PBE.
No peak broadening, texture or thermal motion is included.

```
15
Lattice="3.989 2.303 6.658 -3.989 2.303 6.658 0.000 -4.606 6.658" Properties=species:S:1:pos:R:3 pbc="T T T"
Na -1.994 -1.151 6.658
Na -1.994 1.151 13.316
Na 0.000 2.303 6.658
Pu -3.989 0.000 9.987
Pu -1.994 1.151 3.329
Pu 1.994 1.151 3.329
In 0.000 0.000 9.987
S 0.000 0.000 4.816
S -1.954 -1.128 11.450
S 0.000 -2.256 8.524
S -1.954 1.128 8.524
S 1.954 -1.128 11.450
S 0.000 2.256 11.450
S 1.954 1.128 8.524
S 0.000 0.000 15.158
```

Largest 10 diffraction maxima, in order of rising 2θ, 2θ from 10° to 90°:
| 2θ/deg | I (rel.) |
| --- | --- |
| 13.30 | 1000 |
| 26.18 | 528 |
| 27.32 | 344 |
| 31.49 | 839 |
| 34.32 | 222 |
| 41.03 | 226 |
| 44.79 | 300 |
| 45.48 | 302 |
| 47.60 | 260 |
| 56.37 | 156 |

---

What is the formula in the first record?
RbZn2P